Starting from a DFT-relaxed cell (GGA-PBE, Alexandria), the powder diffractogram of Sr2Li4Sb3Pb was computed for Cu Kα (weighted mean of Kα1 and Kα2).
No peak broadening, texture or thermal motion is included.

Most intense lines, 15° ≤ 2θ ≤ 90°, sorted by position:
d = 4.032 Å, rel. 62; d = 3.669 Å, rel. 28; d = 3.151 Å, rel. 100; d = 3.036 Å, rel. 39; d = 2.872 Å, rel. 100; d = 2.308 Å, rel. 53; d = 2.218 Å, rel. 28; d = 2.143 Å, rel. 23; d = 2.003 Å, rel. 37; d = 1.837 Å, rel. 24; d = 1.512 Å, rel. 21; d = 1.419 Å, rel. 23

Structure:
```
10
Lattice="4.616 0.000 0.000 0.000 4.616 0.000 0.000 0.000 12.095" Properties=species:S:1:pos:R:3 pbc="T T T"
Sr 0.000 2.308 2.840
Sr 2.308 0.000 9.255
Li 0.000 0.000 0.000
Li 0.000 2.308 7.779
Li 2.308 0.000 4.316
Li 2.308 2.308 0.000
Sb 0.000 2.308 10.445
Sb 2.308 0.000 1.651
Sb 2.308 2.308 6.048
Pb 0.000 0.000 6.048
```